This entry pairs a crystal structure of TeMoSeS2Br with its calculated X-ray powder pattern. Radiation: Cu Kα (weighted mean of Kα1 and Kα2). Structure: a crystal structure in OQMD, relaxed with GGA-PBE.

```
12
Lattice="6.4346 0.0000 0.0000 -3.1982 7.5018 0.0000 -2.0131 -3.3111 7.1949" Properties=species:S:1:pos:R:3 pbc="T T T"
Te -0.0012 1.0472 1.8978
Te 1.2245 3.1435 5.2971
Mo 1.8148 0.0005 0.0046
Mo -0.5915 4.1902 7.1903
Se -3.2003 6.0259 1.3621
Se 4.4236 -1.8351 5.8328
S -1.9981 2.3184 6.5210
S -2.0026 3.9906 5.2163
S 3.2259 0.2001 1.9787
S 3.2214 1.8724 0.6740
Br 0.0179 3.9379 1.7208
Br 1.2054 0.2528 5.4741
```

Main lines, in order of rising 2θ (2θ = 10–80°):
- 2θ 12.30, I 97
- 2θ 12.99, I 48
- 2θ 13.66, I 100
- 2θ 15.04, I 28
- 2θ 16.04, I 33
- 2θ 24.75, I 29
- 2θ 28.12, I 39
- 2θ 33.32, I 30
- 2θ 34.45, I 55
- 2θ 40.95, I 33


This entry pairs a crystal structure of AsAu8 with its calculated X-ray powder pattern. Radiation: Cu Kα (weighted mean of Kα1 and Kα2). Structure: a crystal structure in OQMD, relaxed with GGA-PBE.

```
18
Lattice="4.4718 -1.9899 0.0000 4.4718 1.9899 0.0000 -0.1142 0.0000 27.9270" Properties=species:S:1:pos:R:3 pbc="T T T"
As 0.6522 0.0000 5.8201
As 8.1773 0.0000 22.1070
Au 0.4125 0.0000 15.4369
Au 1.2447 0.0000 8.4956
Au 1.3137 0.0000 18.4507
Au 2.0509 0.0000 21.6679
Au 2.1455 0.0000 11.4437
Au 3.0728 0.0000 14.4593
Au 3.9305 0.0000 7.4394
Au 4.0078 0.0000 17.4203
Au 4.8217 0.0000 10.5067
Au 4.8989 0.0000 20.4876
Au 5.7567 0.0000 13.4677
Au 6.6840 0.0000 16.4833
Au 6.7786 0.0000 6.2592
Au 7.5157 0.0000 9.4764
Au 7.5847 0.0000 19.4314
Au 8.4170 0.0000 12.4901
```

Main lines, in order of rising 2θ (2θ = 10–80°):
- 2θ 35.68, I 97
- 2θ 38.20, I 100
- 2θ 38.94, I 88
- 2θ 40.80, I 37
- 2θ 43.67, I 22
- 2θ 45.05, I 23
- 2θ 45.59, I 30
- 2θ 62.82, I 21
- 2θ 65.00, I 22
- 2θ 66.03, I 15


This entry pairs a crystal structure of TbP2Ir2 with its calculated X-ray powder pattern. Radiation: Cu Kα (weighted mean of Kα1 and Kα2). Structure: a crystal structure in OQMD, relaxed with GGA-PBE.

```
10
Lattice="4.1303 0.0000 0.0000 0.0000 4.1303 0.0000 0.0000 0.0000 9.5623" Properties=species:S:1:pos:R:3 pbc="T T T"
Tb 1.0326 1.0326 2.3103
Tb 3.0977 3.0977 7.2520
P 1.0326 1.0326 6.1261
P 1.0326 3.0977 0.0000
P 3.0977 1.0326 0.0000
P 3.0977 3.0977 3.4362
Ir 1.0326 1.0326 8.4634
Ir 1.0326 3.0977 4.7812
Ir 3.0977 1.0326 4.7812
Ir 3.0977 3.0977 1.0990
```

Main lines, in order of rising 2θ (2θ = 10–80°):
- 2θ 27.99, I 25
- 2θ 28.56, I 28
- 2θ 32.04, I 88
- 2θ 35.58, I 86
- 2θ 36.04, I 100
- 2θ 43.83, I 84
- 2θ 49.26, I 25
- 2θ 52.78, I 37
- 2θ 57.68, I 43
- 2θ 63.72, I 29


> What is the formula in the second record?

AsAu8